Record 1
Ce5S4N: calculated powder diffraction line list (Cu Kα (weighted mean of Kα1 and Kα2)), based on the GGA-PBE geometry in Alexandria.
Peak positions follow from Bragg's law for the DFT cell and can differ from measured ones.

The 10 most intense peaks (5° ≤ 2θ ≤ 70°), in order of rising 2θ:
two_theta	d_spacing	I (rel.)
27.73	3.217	100.0
32.01	2.796	92.5
32.36	2.767	36.1
37.04	2.427	4.7
45.90	1.977	32.5
46.16	1.967	52.2
54.48	1.684	32.6
54.93	1.672	9.5
57.28	1.609	27.1
66.94	1.398	11.2

Atomic structure:
Lattice parameters (Å, degrees): 3.9540 3.9540 27.6670 90.00 90.00 90.00
Space group I4/mmm (No. 139)
One atom of each set of equivalent atoms:
Ce  0.0000  0.0000  0.0000 [2 per cell]
Ce  0.0000  0.0000  0.1997 [4 per cell]
Ce  0.0000  0.0000  0.4114 [4 per cell]
S  0.0000  0.0000  0.0989 [4 per cell]
S  0.0000  0.0000  0.3036 [4 per cell]
N  0.0000  0.0000  0.5000 [2 per cell]

***

Record 2
Cs3Tl8: calculated powder diffraction line list (Cu Kα (weighted mean of Kα1 and Kα2)), based on the GGA-PBE geometry in Alexandria.
Peak positions follow from Bragg's law for the DFT cell and can differ from measured ones.

The 10 most intense peaks (5° ≤ 2θ ≤ 70°), in order of rising 2θ:
two_theta	d_spacing	I (rel.)
16.98	5.223	35.0
25.57	3.484	49.4
25.91	3.439	100.0
32.84	2.727	44.8
33.88	2.646	41.3
34.61	2.592	35.6
36.45	2.465	47.3
42.07	2.148	26.4
47.90	1.899	31.6
49.21	1.851	26.7

Atomic structure:
Lattice parameters (Å, degrees): 5.2917 5.4547 32.4001 90.00 90.00 90.00
Space group Immm (No. 71)
One atom of each set of equivalent atoms:
Cs  0.0000  0.0000  0.0000 [2 per cell]
Cs  0.0000  0.5000  0.1501 [4 per cell]
Tl  0.0000  0.0000  0.2512 [4 per cell]
Tl  0.0000  0.0000  0.4502 [4 per cell]
Tl  0.0000  0.5000  0.3056 [4 per cell]
Tl  0.0000  0.5000  0.4038 [4 per cell]

***

Record 3
Dy12Y2Ho: calculated powder diffraction line list (Cu Kα (weighted mean of Kα1 and Kα2)), based on the GGA-PBE geometry in Alexandria.
Peak positions follow from Bragg's law for the DFT cell and can differ from measured ones.

The 10 most intense peaks (5° ≤ 2θ ≤ 70°), in order of rising 2θ:
two_theta	d_spacing	I (rel.)
30.31	2.949	45.2
30.42	2.938	87.0
31.22	2.865	70.0
32.13	2.786	100.0
32.35	2.768	48.5
32.54	2.752	83.5
33.71	2.659	56.0
36.24	2.479	33.2
46.24	1.963	35.6
61.86	1.500	30.7

Atomic structure:
Lattice parameters (Å, degrees): 7.1189 11.1442 24.2736 90.00 94.28 90.00
Space group C2/m (No. 12)
One atom of each set of equivalent atoms:
Dy  0.0175  0.2502  0.0736 [8 per cell]
Dy  0.1116  0.2487  0.4446 [8 per cell]
Dy  0.1425  0.5000  0.5762 [4 per cell]
Dy  0.1446  0.0000  0.5735 [4 per cell]
Dy  0.1680  0.2469  0.6703 [8 per cell]
Dy  0.2007  0.2561  0.7991 [8 per cell]
Dy  0.2155  0.0000  0.8597 [4 per cell]
Dy  0.2177  0.5000  0.8670 [4 per cell]
Y  0.0641  0.5000  0.2715 [4 per cell]
Y  0.0704  0.0000  0.2718 [4 per cell]
Ho  0.2492  0.0000  0.9968 [4 per cell]

***

Record 4
ErZn6Au12: calculated powder diffraction line list (Cu Kα (weighted mean of Kα1 and Kα2)), based on the GGA-PBE geometry in Alexandria.
Peak positions follow from Bragg's law for the DFT cell and can differ from measured ones.

The 10 most intense peaks (5° ≤ 2θ ≤ 70°), in order of rising 2θ:
two_theta	d_spacing	I (rel.)
22.36	3.976	35.4
32.74	2.736	100.0
34.66	2.588	44.5
39.17	2.300	38.9
40.83	2.210	52.5
43.36	2.087	29.3
45.30	2.002	14.3
45.63	1.988	21.0
47.44	1.917	16.0
48.61	1.873	43.8

Atomic structure:
Lattice parameters (Å, degrees): 12.0119 12.0119 8.6053 90.00 90.00 120.00
Space group R-3m (No. 166, hexagonal axes)
One atom of each set of equivalent atoms:
Er  0.0000  0.0000  0.0000 [3 per cell]
Zn  0.0652  0.5326  0.2418 [18 per cell]
Au  0.0000  0.3812  0.5000 [18 per cell]
Au  0.0818  0.1636  0.2806 [18 per cell]

***

Record 5
Rb3Th3PdS8: calculated powder diffraction line list (Cu Kα (weighted mean of Kα1 and Kα2)), based on the GGA-PBE geometry in Alexandria.
Peak positions follow from Bragg's law for the DFT cell and can differ from measured ones.

The 10 most intense peaks (5° ≤ 2θ ≤ 70°), in order of rising 2θ:
two_theta	d_spacing	I (rel.)
11.43	7.744	99.2
22.97	3.872	37.7
24.87	3.580	23.0
25.66	3.472	58.6
26.61	3.350	22.1
29.13	3.066	100.0
29.51	3.027	45.3
39.61	2.275	35.4
44.18	2.050	31.5
46.57	1.950	23.3

Atomic structure:
Lattice parameters (Å, degrees): 14.0589 8.4694 8.9926 90.00 120.56 90.00
Space group C2/m (No. 12)
One atom of each set of equivalent atoms:
Rb  0.0000  0.0000  0.0000 [2 per cell]
Rb  0.2500  0.2500  0.0000 [4 per cell]
Th  0.0000  0.5000  0.5000 [2 per cell]
Th  0.2500  0.2500  0.5000 [4 per cell]
Pd  0.0000  0.0000  0.5000 [2 per cell]
S  0.0254  0.2744  0.3001 [8 per cell]
S  0.2064  0.0000  0.6649 [4 per cell]
S  0.2344  0.5000  0.7009 [4 per cell]

***

Record 6
Na2AcCd6: calculated powder diffraction line list (Cu Kα (weighted mean of Kα1 and Kα2)), based on the GGA-PBE geometry in Alexandria.
Peak positions follow from Bragg's law for the DFT cell and can differ from measured ones.

The 10 most intense peaks (5° ≤ 2θ ≤ 70°), in order of rising 2θ:
two_theta	d_spacing	I (rel.)
11.63	7.606	57.3
23.35	3.810	24.3
29.02	3.077	85.2
30.25	2.955	27.1
32.43	2.761	69.1
35.34	2.540	100.0
35.54	2.526	46.5
35.68	2.517	41.4
43.96	2.060	36.5
62.77	1.480	35.9

Atomic structure:
Lattice parameters (Å, degrees): 3.6430 8.8157 15.1548 90.00 90.00 90.00
Space group Immm (No. 71)
One atom of each set of equivalent atoms:
Na  0.0000  0.0000  0.1451 [4 per cell]
Ac  0.0000  0.5000  0.0000 [2 per cell]
Cd  0.0000  0.1790  0.3228 [8 per cell]
Cd  0.0000  0.3348  0.5000 [4 per cell]

***

Record 7
Rb4Mg3F10: calculated powder diffraction line list (Cu Kα (weighted mean of Kα1 and Kα2)), based on the GGA-PBE geometry in Alexandria.
Peak positions follow from Bragg's law for the DFT cell and can differ from measured ones.

The 10 most intense peaks (5° ≤ 2θ ≤ 70°), in order of rising 2θ:
two_theta	d_spacing	I (rel.)
21.73	4.089	19.5
23.33	3.813	17.2
29.83	2.995	100.0
30.64	2.918	65.0
38.87	2.317	70.0
41.47	2.178	21.9
43.88	2.063	60.1
53.96	1.699	38.4
61.96	1.498	23.8
63.80	1.459	17.7

Atomic structure:
Lattice parameters (Å, degrees): 4.1264 4.1264 30.4865 90.00 90.00 90.00
Space group I4/mmm (No. 139)
One atom of each set of equivalent atoms:
Rb  0.0000  0.0000  0.0676 [4 per cell]
Rb  0.0000  0.0000  0.2033 [4 per cell]
Mg  0.0000  0.0000  0.3646 [4 per cell]
Mg  0.0000  0.0000  0.5000 [2 per cell]
F  0.0000  0.0000  0.2984 [4 per cell]
F  0.0000  0.0000  0.4323 [4 per cell]
F  0.0000  0.5000  0.0000 [4 per cell]
F  0.0000  0.5000  0.1354 [8 per cell]

***

Record 8
YHoAg2S4: calculated powder diffraction line list (Cu Kα (weighted mean of Kα1 and Kα2)), based on the GGA-PBE geometry in Alexandria.
Peak positions follow from Bragg's law for the DFT cell and can differ from measured ones.

The 10 most intense peaks (5° ≤ 2θ ≤ 70°), in order of rising 2θ:
two_theta	d_spacing	I (rel.)
27.28	3.269	49.0
27.62	3.230	23.7
28.90	3.090	21.4
31.67	2.825	53.1
32.44	2.760	100.0
45.12	2.009	38.3
45.25	2.004	19.0
46.80	1.941	34.0
47.78	1.904	16.3
56.29	1.634	19.3

Atomic structure:
Lattice parameters (Å, degrees): 6.6682 4.0076 6.9703 90.00 112.07 90.00
Space group P2/m (No. 10)
One atom of each set of equivalent atoms:
Y  0.0000  0.0000  0.0000 [1 per cell]
Ho  0.0000  0.5000  0.5000 [1 per cell]
Ag  0.5000  0.0000  0.5000 [1 per cell]
Ag  0.5000  0.5000  0.0000 [1 per cell]
S  0.2391  0.0000  0.7516 [2 per cell]
S  0.2395  0.5000  0.2546 [2 per cell]

***

Record 9
RbAcTcO6: calculated powder diffraction line list (Cu Kα (weighted mean of Kα1 and Kα2)), based on the GGA-PBE geometry in Alexandria.
Peak positions follow from Bragg's law for the DFT cell and can differ from measured ones.

The 10 most intense peaks (5° ≤ 2θ ≤ 70°), in order of rising 2θ:
two_theta	d_spacing	I (rel.)
15.88	5.579	29.8
18.00	4.929	16.8
25.37	3.510	54.4
26.85	3.321	100.0
28.99	3.080	70.2
32.60	2.747	26.7
38.04	2.366	17.9
41.75	2.163	42.0
44.23	2.048	21.4
48.36	1.882	17.0

Atomic structure:
Lattice parameters (Å, degrees): 4.4990 5.4943 6.2158 116.16 90.21 90.10
Space group P1 (No. 1)
One atom of each set of equivalent atoms:
Rb  0.0000  0.0000  0.0000 [1 per cell]
Ac  0.5665  0.3049  0.6084 [1 per cell]
Tc  0.2393  0.6693  0.3381 [1 per cell]
O  0.0623  0.0135  0.5422 [1 per cell]
O  0.0641  0.5269  0.5434 [1 per cell]
O  0.4946  0.3799  0.2428 [1 per cell]
O  0.4954  0.8635  0.2431 [1 per cell]
O  0.5251  0.8326  0.6670 [1 per cell]
O  0.9969  0.5437  0.0880 [1 per cell]

***

Record 10
LiIrI4: calculated powder diffraction line list (Cu Kα (weighted mean of Kα1 and Kα2)), based on the GGA-PBE geometry in Alexandria.
Peak positions follow from Bragg's law for the DFT cell and can differ from measured ones.

The 10 most intense peaks (5° ≤ 2θ ≤ 70°), in order of rising 2θ:
two_theta	d_spacing	I (rel.)
12.73	6.955	100.0
15.25	5.808	14.5
25.62	3.478	17.7
26.81	3.325	20.7
30.15	2.964	70.8
30.79	2.904	35.5
39.01	2.309	26.4
43.63	2.074	48.1
55.25	1.663	13.5
55.55	1.654	14.4

Atomic structure:
Lattice parameters (Å, degrees): 11.6169 8.6837 8.1118 90.00 90.06 90.00
Space group C2/c (No. 15)
One atom of each set of equivalent atoms:
Li  0.2500  0.2500  0.0000 [4 per cell]
Ir  0.0000  0.0001  0.2500 [4 per cell]
I  0.0009  0.2050  0.5001 [8 per cell]
I  0.2341  0.0002  0.2505 [8 per cell]

***

Record 11
Ca2Zn6Ag9: calculated powder diffraction line list (Cu Kα (weighted mean of Kα1 and Kα2)), based on the GGA-PBE geometry in Alexandria.
Peak positions follow from Bragg's law for the DFT cell and can differ from measured ones.

The 10 most intense peaks (5° ≤ 2θ ≤ 70°), in order of rising 2θ:
two_theta	d_spacing	I (rel.)
18.13	4.893	73.8
20.44	4.346	21.4
36.73	2.447	44.9
37.99	2.369	76.0
41.56	2.173	31.3
42.40	2.132	100.0
45.68	1.986	13.4
56.66	1.625	23.8
60.64	1.527	17.9
66.15	1.413	21.9

Atomic structure:
Lattice parameters (Å, degrees): 5.6503 5.6503 13.0373 90.00 90.00 120.00
Space group P6/mmm (No. 191)
One atom of each set of equivalent atoms:
Ca  0.0000  0.0000  0.1652 [2 per cell]
Zn  0.3333  0.6667  0.1653 [4 per cell]
Zn  0.3333  0.6667  0.5000 [2 per cell]
Ag  0.0000  0.5000  0.0000 [3 per cell]
Ag  0.0000  0.5000  0.3321 [6 per cell]

***

Record 12
BaLiZn3: calculated powder diffraction line list (Cu Kα (weighted mean of Kα1 and Kα2)), based on the GGA-PBE geometry in Alexandria.
Peak positions follow from Bragg's law for the DFT cell and can differ from measured ones.

The 10 most intense peaks (5° ≤ 2θ ≤ 70°), in order of rising 2θ:
two_theta	d_spacing	I (rel.)
14.90	5.945	21.9
25.96	3.432	9.5
30.06	2.972	20.7
30.18	2.961	32.5
33.75	2.656	100.0
43.09	2.099	32.1
53.39	1.716	11.7
55.92	1.644	20.8
62.56	1.485	14.0
64.68	1.441	13.0

Atomic structure:
Lattice parameters (Å, degrees): 6.8645 6.8645 5.9218 90.00 90.00 120.00
Space group P6_3/mmc (No. 194)
One atom of each set of equivalent atoms:
Ba  0.3333  0.6667  0.2500 [2 per cell]
Li  0.0000  0.0000  0.0000 [2 per cell]
Zn  0.1971  0.3941  0.7500 [6 per cell]

***

Record 13
BaPt4: calculated powder diffraction line list (Cu Kα (weighted mean of Kα1 and Kα2)), based on the GGA-PBE geometry in Alexandria.
Peak positions follow from Bragg's law for the DFT cell and can differ from measured ones.

The 10 most intense peaks (5° ≤ 2θ ≤ 70°), in order of rising 2θ:
two_theta	d_spacing	I (rel.)
17.02	5.210	22.6
21.10	4.211	21.2
32.29	2.773	52.5
32.43	2.761	100.0
39.13	2.302	85.8
44.55	2.034	59.9
47.92	1.899	22.3
51.60	1.771	28.2
56.54	1.628	29.8
66.69	1.403	32.1

Atomic structure:
Lattice parameters (Å, degrees): 4.6041 4.6041 10.4196 90.00 90.00 90.00
Space group I4/mmm (No. 139)
One atom of each set of equivalent atoms:
Ba  0.0000  0.0000  0.0000 [2 per cell]
Pt  0.0000  0.0000  0.3786 [4 per cell]
Pt  0.0000  0.5000  0.2500 [4 per cell]